Diffraction record for ZrP2NCl11. The powder diffractogram is calculated, not measured: it uses DFT lattice parameters and positions (PBE) and Cu Kα X-rays.
No peak broadening, texture or thermal motion is included.

Structure:
```
ZrP2NCl11
1.0
9.322 -6.026 0.000
9.322 6.026 0.000
0.000 0.000 16.278
Zr P N Cl
4 8 4 44
Direct
0.148 0.852 0.934 Zr
0.352 0.648 0.434 Zr
0.648 0.352 0.566 Zr
0.852 0.148 0.066 Zr
0.196 0.198 0.317 P
0.198 0.196 0.683 P
0.302 0.304 0.183 P
0.304 0.302 0.817 P
0.696 0.698 0.183 P
0.698 0.696 0.817 P
0.802 0.804 0.317 P
0.804 0.802 0.683 P
0.202 0.298 0.250 N
0.298 0.202 0.750 N
0.702 0.798 0.250 N
0.798 0.702 0.750 N
0.011 0.725 0.939 Cl
0.026 0.279 0.376 Cl
0.029 0.207 0.729 Cl
0.073 0.927 0.086 Cl
0.153 0.336 0.599 Cl
0.160 0.840 0.475 Cl
0.164 0.347 0.901 Cl
0.168 0.832 0.785 Cl
0.207 0.029 0.271 Cl
0.221 0.474 0.124 Cl
0.225 0.511 0.439 Cl
0.275 0.989 0.939 Cl
0.279 0.026 0.624 Cl
0.293 0.471 0.771 Cl
0.332 0.668 0.285 Cl
0.336 0.153 0.401 Cl
0.340 0.660 0.975 Cl
0.347 0.164 0.099 Cl
0.427 0.573 0.586 Cl
0.471 0.293 0.229 Cl
0.474 0.221 0.876 Cl
0.489 0.775 0.439 Cl
0.511 0.225 0.561 Cl
0.526 0.779 0.124 Cl
0.529 0.707 0.771 Cl
0.573 0.427 0.414 Cl
0.653 0.836 0.901 Cl
0.660 0.340 0.025 Cl
0.664 0.847 0.599 Cl
0.668 0.332 0.715 Cl
0.707 0.529 0.229 Cl
0.721 0.974 0.376 Cl
0.725 0.011 0.061 Cl
0.775 0.489 0.561 Cl
0.779 0.526 0.876 Cl
0.793 0.971 0.729 Cl
0.832 0.168 0.215 Cl
0.836 0.653 0.099 Cl
0.840 0.160 0.525 Cl
0.847 0.664 0.401 Cl
0.927 0.073 0.914 Cl
0.971 0.793 0.271 Cl
0.974 0.721 0.624 Cl
0.989 0.275 0.061 Cl
```

Peak list (12 most intense, 10 to 90 degrees two-theta, in order of falling intensity)
2θ (°), d/Å, intensity
29.29, 3.049, 1000
16.95, 5.231, 786
10.29, 8.595, 739
22.98, 3.871, 678
17.52, 5.061, 635
13.96, 6.343, 619
14.45, 6.131, 544
22.02, 4.037, 533
18.33, 4.839, 484
34.22, 2.620, 430
29.65, 3.013, 428
38.64, 2.330, 330

Diffraction record for Pb2NCl5. The powder diffractogram is calculated, not measured: it uses DFT lattice parameters and positions (PBE) and Cu Kα X-rays.
No peak broadening, texture or thermal motion is included.

Structure:
```
Pb2NCl5
1.0
8.770 0.000 0.000
0.000 8.006 0.000
-0.121 0.000 12.515
Pb N Cl
8 4 20
Direct
0.004 0.025 0.175 Pb
0.004 0.475 0.675 Pb
0.263 0.071 0.496 Pb
0.263 0.429 0.996 Pb
0.737 0.571 0.004 Pb
0.737 0.929 0.504 Pb
0.996 0.525 0.325 Pb
0.996 0.975 0.825 Pb
0.493 0.557 0.336 N
0.493 0.943 0.836 N
0.507 0.057 0.164 N
0.507 0.443 0.664 N
0.040 0.669 0.092 Cl
0.040 0.831 0.592 Cl
0.215 0.650 0.819 Cl
0.215 0.850 0.319 Cl
0.220 0.046 0.998 Cl
0.220 0.454 0.498 Cl
0.222 0.183 0.712 Cl
0.222 0.317 0.212 Cl
0.456 0.674 0.079 Cl
0.456 0.826 0.579 Cl
0.544 0.174 0.421 Cl
0.544 0.326 0.921 Cl
0.778 0.683 0.788 Cl
0.778 0.817 0.288 Cl
0.780 0.546 0.502 Cl
0.780 0.954 0.002 Cl
0.785 0.150 0.681 Cl
0.785 0.350 0.181 Cl
0.960 0.169 0.408 Cl
0.960 0.331 0.908 Cl
```

Peak list (12 most intense, 10 to 90 degrees two-theta, in order of falling intensity)
2θ (°), d/Å, intensity
24.09, 3.694, 1000
10.09, 8.770, 780
16.58, 5.348, 307
22.21, 4.003, 300
24.27, 3.667, 290
43.33, 2.088, 287
33.61, 2.666, 278
38.11, 2.361, 265
35.10, 2.556, 252
33.44, 2.680, 251
24.91, 3.575, 220
24.68, 3.607, 213

Diffraction record for PbN2Cl6. The powder diffractogram is calculated, not measured: it uses DFT lattice parameters and positions (PBE) and Cu Kα X-rays.
No peak broadening, texture or thermal motion is included.

Structure:
```
PbN2Cl6
1.0
0.000 5.072 5.072
5.072 0.000 5.072
5.072 5.072 0.000
Pb N Cl
1 2 6
Direct
0.000 0.000 0.000 Pb
0.250 0.250 0.250 N
0.750 0.750 0.750 N
0.253 0.253 0.747 Cl
0.253 0.747 0.253 Cl
0.253 0.747 0.747 Cl
0.747 0.253 0.253 Cl
0.747 0.253 0.747 Cl
0.747 0.747 0.253 Cl
```

Peak list (12 most intense, 10 to 90 degrees two-theta, in order of falling intensity)
2θ (°), d/Å, intensity
15.13, 5.857, 1000
17.49, 5.072, 871
29.20, 3.059, 694
35.40, 2.536, 491
39.74, 2.268, 448
38.69, 2.327, 352
50.92, 1.793, 320
24.83, 3.586, 306
53.44, 1.715, 254
46.52, 1.952, 253
54.26, 1.691, 229
71.43, 1.321, 179

Diffraction record for PdN2Cl2. The powder diffractogram is calculated, not measured: it uses DFT lattice parameters and positions (PBE) and Cu Kα X-rays.
No peak broadening, texture or thermal motion is included.

Structure:
```
PdN2Cl2
1.0
3.694 0.000 0.000
-0.297 4.519 0.000
-1.325 -2.039 7.291
Pd N Cl
1 2 2
Direct
0.000 0.000 0.000 Pd
0.050 0.863 0.214 N
0.928 0.045 0.768 N
0.088 0.517 0.244 Cl
0.833 0.270 0.634 Cl
```

Peak list (12 most intense, 10 to 90 degrees two-theta, in order of falling intensity)
2θ (°), d/Å, intensity
12.14, 7.291, 1000
24.63, 3.614, 846
26.53, 3.360, 596
25.27, 3.525, 555
27.36, 3.260, 439
20.41, 4.352, 340
39.75, 2.268, 265
33.00, 2.715, 252
32.45, 2.759, 197
34.01, 2.636, 186
20.76, 4.278, 164
49.52, 1.841, 158

Diffraction record for PdN2Cl2. The powder diffractogram is calculated, not measured: it uses DFT lattice parameters and positions (PBE) and Cu Kα X-rays.
No peak broadening, texture or thermal motion is included.

Structure:
```
PdN2Cl2
1.0
3.240 0.000 0.000
-1.322 3.831 0.000
-0.640 -1.359 8.481
Pd N Cl
1 2 2
Direct
0.000 0.000 0.000 Pd
0.450 0.939 0.859 N
0.551 0.060 0.140 N
0.427 0.973 0.668 Cl
0.674 0.255 0.328 Cl
```

Peak list (12 most intense, 10 to 90 degrees two-theta, in order of falling intensity)
2θ (°), d/Å, intensity
10.43, 8.481, 1000
23.52, 3.783, 585
24.20, 3.678, 435
34.13, 2.627, 303
32.67, 2.741, 247
32.48, 2.756, 225
31.65, 2.827, 214
37.52, 2.397, 129
37.68, 2.387, 114
20.95, 4.240, 95
36.55, 2.459, 92
45.68, 1.986, 90

Diffraction record for PdN2Cl2. The powder diffractogram is calculated, not measured: it uses DFT lattice parameters and positions (PBE) and Cu Kα X-rays.
No peak broadening, texture or thermal motion is included.

Structure:
```
PdN2Cl2
1.0
3.780 0.000 0.000
-0.317 4.466 0.000
-1.454 -0.214 7.155
Pd N Cl
1 2 2
Direct
0.000 0.000 0.000 Pd
0.023 0.737 0.790 N
0.102 0.757 0.224 N
0.098 0.074 0.352 Cl
0.808 0.388 0.766 Cl
```

Peak list (12 most intense, 10 to 90 degrees two-theta, in order of falling intensity)
2θ (°), d/Å, intensity
12.37, 7.155, 1000
24.09, 3.694, 750
24.82, 3.588, 607
19.89, 4.464, 478
32.58, 2.749, 477
23.17, 3.839, 273
23.81, 3.737, 268
30.22, 2.958, 164
42.43, 2.130, 160
31.08, 2.878, 151
31.58, 2.833, 142
42.30, 2.137, 134

Diffraction record for PdN2Cl6. The powder diffractogram is calculated, not measured: it uses DFT lattice parameters and positions (PBE) and Cu Kα X-rays.
No peak broadening, texture or thermal motion is included.

Structure:
```
PdN2Cl6
1.0
0.000 4.969 4.969
4.969 0.000 4.969
4.969 4.969 0.000
Pd N Cl
1 2 6
Direct
0.000 0.000 0.000 Pd
0.250 0.250 0.250 N
0.750 0.750 0.750 N
0.233 0.233 0.767 Cl
0.233 0.767 0.233 Cl
0.233 0.767 0.767 Cl
0.767 0.233 0.233 Cl
0.767 0.233 0.767 Cl
0.767 0.767 0.233 Cl
```

Peak list (12 most intense, 10 to 90 degrees two-theta, in order of falling intensity)
2θ (°), d/Å, intensity
15.44, 5.737, 1000
17.85, 4.969, 742
36.16, 2.484, 590
52.06, 1.757, 353
29.82, 2.996, 349
40.60, 2.222, 317
47.54, 1.912, 231
54.64, 1.680, 197
31.18, 2.869, 179
55.48, 1.656, 155
87.88, 1.111, 135
67.29, 1.392, 122

Diffraction record for Pr2NCl3. The powder diffractogram is calculated, not measured: it uses DFT lattice parameters and positions (PBE) and Cu Kα X-rays.
No peak broadening, texture or thermal motion is included.

Structure:
```
Pr2NCl3
1.0
-3.460 6.862 3.110
3.460 -6.862 3.110
3.460 6.862 -3.110
Pr N Cl
4 2 6
Direct
0.093 0.176 0.269 Pr
0.407 0.676 0.083 Pr
0.593 0.324 0.917 Pr
0.907 0.824 0.731 Pr
0.250 0.250 0.000 N
0.750 0.750 0.000 N
0.203 0.826 0.029 Cl
0.250 0.750 0.500 Cl
0.297 0.326 0.622 Cl
0.703 0.674 0.378 Cl
0.750 0.250 0.500 Cl
0.797 0.174 0.971 Cl
```

Peak list (12 most intense, 10 to 90 degrees two-theta, in order of falling intensity)
2θ (°), d/Å, intensity
23.19, 3.836, 1000
32.49, 2.756, 649
35.59, 2.522, 591
28.71, 3.110, 359
14.33, 6.179, 349
12.90, 6.862, 256
39.62, 2.275, 244
47.67, 1.908, 225
38.94, 2.313, 224
32.23, 2.778, 217
53.31, 1.718, 192
58.98, 1.566, 187

Diffraction record for PrN2Cl5. The powder diffractogram is calculated, not measured: it uses DFT lattice parameters and positions (PBE) and Cu Kα X-rays.
No peak broadening, texture or thermal motion is included.

Structure:
```
PrN2Cl5
1.0
9.963 0.000 0.000
0.000 8.706 0.000
0.000 0.000 10.203
Pr N Cl
4 8 20
Direct
0.041 0.250 0.052 Pr
0.459 0.750 0.552 Pr
0.541 0.250 0.448 Pr
0.959 0.750 0.948 Pr
0.095 0.097 0.437 N
0.095 0.403 0.437 N
0.405 0.597 0.937 N
0.405 0.903 0.937 N
0.595 0.097 0.063 N
0.595 0.403 0.063 N
0.905 0.597 0.563 N
0.905 0.903 0.563 N
0.056 0.250 0.500 Cl
0.072 0.554 0.142 Cl
0.072 0.946 0.142 Cl
0.237 0.750 0.411 Cl
0.238 0.750 0.771 Cl
0.262 0.250 0.271 Cl
0.263 0.250 0.911 Cl
0.428 0.054 0.642 Cl
0.428 0.446 0.642 Cl
0.444 0.750 0.000 Cl
0.556 0.250 0.000 Cl
0.572 0.554 0.358 Cl
0.572 0.946 0.358 Cl
0.737 0.750 0.089 Cl
0.738 0.750 0.729 Cl
0.762 0.250 0.229 Cl
0.763 0.250 0.589 Cl
0.928 0.054 0.858 Cl
0.928 0.446 0.858 Cl
0.944 0.750 0.500 Cl
```

Peak list (12 most intense, 10 to 90 degrees two-theta, in order of falling intensity)
2θ (°), d/Å, intensity
12.42, 7.128, 1000
20.40, 4.353, 470
33.52, 2.673, 439
32.47, 2.758, 376
17.38, 5.102, 366
24.98, 3.564, 342
17.81, 4.981, 341
36.75, 2.445, 285
32.13, 2.786, 281
27.03, 3.298, 260
26.92, 3.311, 253
44.91, 2.018, 205

Diffraction record for Pr5S2N3Cl2. The powder diffractogram is calculated, not measured: it uses DFT lattice parameters and positions (PBE) and Cu Kα X-rays.
No peak broadening, texture or thermal motion is included.

Structure:
```
Pr5S2N3Cl2
1.0
7.979 -2.041 0.000
7.979 2.041 0.000
-3.538 0.000 16.728
Pr S N Cl
10 4 6 4
Direct
0.018 0.018 0.164 Pr
0.074 0.074 0.595 Pr
0.264 0.264 0.206 Pr
0.359 0.359 0.575 Pr
0.386 0.386 0.969 Pr
0.614 0.614 0.031 Pr
0.641 0.641 0.425 Pr
0.736 0.736 0.794 Pr
0.926 0.926 0.405 Pr
0.982 0.982 0.836 Pr
0.288 0.288 0.405 S
0.458 0.458 0.291 S
0.542 0.542 0.709 S
0.712 0.712 0.595 S
0.075 0.075 0.454 N
0.148 0.148 0.110 N
0.494 0.494 0.090 N
0.506 0.506 0.910 N
0.852 0.852 0.890 N
0.925 0.925 0.546 N
0.180 0.180 0.895 Cl
0.334 0.334 0.740 Cl
0.666 0.666 0.260 Cl
0.820 0.820 0.105 Cl
```

Peak list (12 most intense, 10 to 90 degrees two-theta, in order of falling intensity)
2θ (°), d/Å, intensity
26.98, 3.305, 1000
27.14, 3.286, 860
30.30, 2.950, 631
35.72, 2.514, 575
27.78, 3.212, 520
26.65, 3.345, 452
44.39, 2.041, 403
41.38, 2.182, 398
45.69, 1.986, 376
24.99, 3.563, 362
59.15, 1.562, 310
52.81, 1.734, 301

Diffraction record for Pr4S3NCl3. The powder diffractogram is calculated, not measured: it uses DFT lattice parameters and positions (PBE) and Cu Kα X-rays.
No peak broadening, texture or thermal motion is included.

Structure:
```
Pr4S3NCl3
1.0
9.437 0.000 0.000
-4.719 8.173 0.000
0.000 0.000 6.936
Pr S N Cl
8 6 2 6
Direct
0.202 0.404 0.000 Pr
0.202 0.798 0.000 Pr
0.333 0.667 0.534 Pr
0.404 0.202 0.500 Pr
0.596 0.798 0.000 Pr
0.667 0.333 0.034 Pr
0.798 0.202 0.500 Pr
0.798 0.596 0.500 Pr
0.064 0.532 0.278 S
0.468 0.532 0.278 S
0.468 0.936 0.278 S
0.532 0.064 0.778 S
0.532 0.468 0.778 S
0.936 0.468 0.778 S
0.333 0.667 0.879 N
0.667 0.333 0.379 N
0.131 0.263 0.609 Cl
0.131 0.869 0.609 Cl
0.263 0.131 0.109 Cl
0.737 0.869 0.609 Cl
0.869 0.131 0.109 Cl
0.869 0.737 0.109 Cl
```

Peak list (12 most intense, 10 to 90 degrees two-theta, in order of falling intensity)
2θ (°), d/Å, intensity
25.30, 3.521, 1000
35.40, 2.536, 526
33.90, 2.644, 481
45.05, 2.012, 337
25.69, 3.468, 333
31.71, 2.822, 329
38.14, 2.359, 322
10.83, 8.173, 288
21.75, 4.086, 287
39.05, 2.307, 201
46.56, 1.951, 157
46.33, 1.960, 119